The following is a theoretical powder X-ray diffraction pattern of AcDy2Ho2. It was derived from a crystal structure in Alexandria, relaxed with GGA-PBE, using Cu Kα.
Kinematic intensities with the Lorentz-polarization factor, no thermal factor.

Largest 10 diffraction maxima, low angle first, 2θ = 15–90°:
| Position (°2θ) | I/Imax |
| --- | --- |
| 25.64 | 37 |
| 26.23 | 18 |
| 29.67 | 39 |
| 30.36 | 100 |
| 31.62 | 44 |
| 31.78 | 27 |
| 32.75 | 20 |
| 33.08 | 23 |
| 34.57 | 25 |
| 40.55 | 25 |

Structure:
a b c (Å): 8.6396 8.6396 11.4359
angles (deg): 90.00 90.00 155.80
Fractional coordinates of all 10 atoms:
Ac: 0.0987 0.9013 0.5000
Ac: 0.9013 0.0987 0.0000
Dy: 0.2070 0.7930 0.0523
Dy: 0.4118 0.5882 0.3710
Dy: 0.5882 0.4118 0.8710
Dy: 0.7930 0.2070 0.5523
Ho: 0.2580 0.7420 0.7891
Ho: 0.4410 0.5590 0.6788
Ho: 0.5590 0.4410 0.1788
Ho: 0.7420 0.2580 0.2891

---

The following is a theoretical powder X-ray diffraction pattern of AcDy5Ho6. It was derived from a crystal structure in Alexandria, relaxed with GGA-PBE, using Cu Kα.
Kinematic intensities with the Lorentz-polarization factor, no thermal factor.

Largest 10 diffraction maxima, low angle first, 2θ = 15–90°:
| Position (°2θ) | I/Imax |
| --- | --- |
| 30.71 | 100 |
| 35.61 | 51 |
| 51.24 | 36 |
| 60.91 | 32 |
| 60.99 | 11 |
| 63.92 | 9 |
| 75.39 | 6 |
| 83.51 | 9 |
| 83.63 | 9 |
| 86.25 | 8 |

Structure:
a b c (Å): 6.1790 6.1790 11.8119
angles (deg): 95.00 95.00 119.96
Fractional coordinates of all 12 atoms:
Ac: 0.0000 0.0000 0.0000
Dy: 0.1670 0.8330 0.5000
Dy: 0.3334 0.6666 0.0000
Dy: 0.5000 0.5000 0.5000
Dy: 0.6666 0.3334 0.0000
Dy: 0.8330 0.1670 0.5000
Ho: 0.0851 0.4213 0.2544
Ho: 0.2514 0.2514 0.7454
Ho: 0.4213 0.0851 0.2544
Ho: 0.5787 0.9149 0.7456
Ho: 0.7486 0.7486 0.2546
Ho: 0.9149 0.5787 0.7456

---

Repeat the second record exactly.
The following is a theoretical powder X-ray diffraction pattern of AcDy5Ho6. It was derived from a crystal structure in Alexandria, relaxed with GGA-PBE, using Cu Kα.
Kinematic intensities with the Lorentz-polarization factor, no thermal factor.

Largest 10 diffraction maxima, low angle first, 2θ = 15–90°:
| Position (°2θ) | I/Imax |
| --- | --- |
| 30.71 | 100 |
| 35.61 | 51 |
| 51.24 | 36 |
| 60.91 | 32 |
| 60.99 | 11 |
| 63.92 | 9 |
| 75.39 | 6 |
| 83.51 | 9 |
| 83.63 | 9 |
| 86.25 | 8 |

Structure:
a b c (Å): 6.1790 6.1790 11.8119
angles (deg): 95.00 95.00 119.96
Fractional coordinates of all 12 atoms:
Ac: 0.0000 0.0000 0.0000
Dy: 0.1670 0.8330 0.5000
Dy: 0.3334 0.6666 0.0000
Dy: 0.5000 0.5000 0.5000
Dy: 0.6666 0.3334 0.0000
Dy: 0.8330 0.1670 0.5000
Ho: 0.0851 0.4213 0.2544
Ho: 0.2514 0.2514 0.7454
Ho: 0.4213 0.0851 0.2544
Ho: 0.5787 0.9149 0.7456
Ho: 0.7486 0.7486 0.2546
Ho: 0.9149 0.5787 0.7456